Starting from a GGA+U-relaxed structure, the powder XRD pattern of Li3TiV3O8 was computed for a wavelength of 1.5418 Å.
Lines closer than 0.1° are merged.

Crystal structure
a b c (Å): 6.0405 5.9824 10.3515
angles (deg): 90.00 125.10 90.00
Space group P2_1/c (No. 14)
Symmetry-distinct sites (fractional):
Li (0.0000, 0.0000, 0.0000) x2
Li (0.0006, 0.2500, 0.2504) x4
Ti (0.5000, 0.0000, 0.0000) x2
V (0.4994, 0.2494, 0.7490) x4
V (0.5000, 0.0000, 0.5000) x2
O (0.2705, 0.0010, 0.2580) x4
O (0.2812, 0.2365, 0.0078) x4
O (0.2818, 0.9996, 0.7676) x4
O (0.2844, 0.7420, 0.5084) x4

Largest 10 diffraction maxima, sorted by position, 2θ from 10° to 90°:
d (Å), I/Imax, (hkl)
4.942, 1000, 1 0 0
2.551, 359, 1 2 -2
2.444, 71, 0 2 2
2.125, 502, 2 2 -2
2.117, 247, 0 0 4
1.948, 68, 1 2 2
1.641, 95, 3 2 -2
1.506, 129, 2 2 2
1.495, 203, 0 4 0
1.432, 87, 1 4 0


Starting from a GGA+U-relaxed structure, the powder XRD pattern of Li4V3O8 was computed for a wavelength of 1.5418 Å.
Lines closer than 0.1° are merged.

Crystal structure
a b c (Å): 6.2172 4.0266 11.8024
angles (deg): 90.00 100.35 90.00
Space group P2_1/m (No. 11)
Symmetry-distinct sites (fractional):
Li (0.0135, 0.2500, 0.3175) x2
Li (0.1830, 0.2500, 0.5939) x2
Li (0.4216, 0.2500, 0.0580) x2
Li (0.4512, 0.7500, 0.6966) x2
V (0.1121, 0.7500, 0.9222) x2
V (0.2327, 0.7500, 0.1919) x2
V (0.3297, 0.7500, 0.4470) x2
O (0.0565, 0.2500, 0.9337) x2
O (0.0744, 0.7500, 0.3171) x2
O (0.1802, 0.7500, 0.5622) x2
O (0.1927, 0.2500, 0.1778) x2
O (0.2700, 0.7500, 0.8191) x2
O (0.3589, 0.7500, 0.0568) x2
O (0.3692, 0.2500, 0.4537) x2
O (0.4827, 0.7500, 0.3100) x2

Largest 10 diffraction maxima, sorted by position, 2θ from 10° to 90°:
d (Å), I/Imax, (hkl)
5.863, 1000, 1 0 -1
3.363, 776, 1 1 0
2.827, 222, 1 0 -4
2.423, 141, 1 1 3
2.214, 444, 2 0 3
2.034, 312, 2 0 -5
2.013, 410, 0 2 0
1.558, 133, 3 1 -5
1.489, 200, 2 2 3
1.431, 166, 2 2 -5